This entry pairs a crystal structure of SmHo6In2 with its computed XRD peak list. Radiation: CuKα. Structure: DFT lattice parameters and positions (PBE).
Kinematic intensities with the Lorentz-polarization factor, no thermal factor.

Structure:
Cell lengths 12.6817, 3.7347, 11.9139 Å; angles 90.00, 107.90, 90.00 degrees
Space group C2/m (No. 12)
Asymmetric unit:
Sm 0.0000 0.0000 0.0000 (multiplicity 2)
Ho 0.0133 0.0000 0.3445 (multiplicity 4)
Ho 0.1858 0.5000 0.8749 (multiplicity 4)
Ho 0.1900 0.5000 0.5829 (multiplicity 4)
In 0.1441 0.5000 0.2128 (multiplicity 4)

The 10 most intense peaks (2θ = 10–90°), in order of rising 2θ:
hkl, 2theta, intensity
2 0 3, 31.6, 50.5
4 0 -3, 31.8, 47.1
3 1 0, 32.7, 90.5
1 1 -3, 32.9, 100.0
2 0 -6, 45.7, 15.1
0 2 0, 48.8, 16.8
7 1 -3, 57.1, 14.0
5 1 -6, 57.5, 14.6
2 2 3, 59.3, 17.8
4 2 -3, 59.4, 15.8